This entry pairs a crystal structure of PPb2AuF10 with its computed X-ray diffraction stick pattern. Radiation: Cu Ka. Structure: DFT lattice parameters and positions (GGA-PBE).

Principal peaks in the range 10 to 90 degrees two-theta, in order of falling intensity:
2θ = 10.58°, intensity 1000
2θ = 26.08°, intensity 898
2θ = 28.11°, intensity 651
2θ = 25.39°, intensity 615
2θ = 37.74°, intensity 547
2θ = 28.68°, intensity 518
2θ = 21.04°, intensity 422
2θ = 42.80°, intensity 357
2θ = 42.14°, intensity 336
2θ = 30.60°, intensity 329
2θ = 29.34°, intensity 325
2θ = 34.24°, intensity 316

Structural model:
a = 4.458 Å, b = 4.849 Å, c = 8.612 Å
α = 88.60°, β = 76.20°, γ = 79.48°
Fractional positions:
P  0.000  0.000  0.000
Pb  0.364  0.523  0.295
Pb  0.636  0.477  0.705
Au  0.000  0.000  0.500
F  0.038  0.155  0.157
F  0.149  0.239  0.888
F  0.216  0.476  0.588
F  0.346  0.804  0.982
F  0.430  0.048  0.354
F  0.570  0.952  0.646
F  0.654  0.196  0.018
F  0.784  0.524  0.412
F  0.851  0.761  0.112
F  0.962  0.845  0.843

=====

This entry pairs a crystal structure of RbZrAg3S4 with its computed X-ray diffraction stick pattern. Radiation: Cu Ka. Structure: DFT lattice parameters and positions (GGA-PBE).

Principal peaks in the range 10 to 90 degrees two-theta, in order of falling intensity:
2θ = 14.44°, intensity 1000
2θ = 24.47°, intensity 641
2θ = 41.52°, intensity 549
2θ = 41.20°, intensity 534
2θ = 29.11°, intensity 517
2θ = 46.41°, intensity 409
2θ = 27.31°, intensity 408
2θ = 32.19°, intensity 407
2θ = 30.26°, intensity 355
2θ = 46.61°, intensity 328
2θ = 32.39°, intensity 313
2θ = 35.25°, intensity 292

Structural model:
a = 6.216 Å, b = 7.827 Å, c = 10.319 Å
α = 90.00°, β = 106.86°, γ = 90.00°
Fractional positions:
Rb  0.201  0.250  0.369
Rb  0.799  0.750  0.631
Zr  0.135  0.250  0.793
Zr  0.865  0.750  0.207
Ag  0.286  0.547  0.018
Ag  0.286  0.953  0.018
Ag  0.410  0.750  0.267
Ag  0.590  0.250  0.733
Ag  0.714  0.047  0.982
Ag  0.714  0.453  0.982
S  0.058  0.250  0.017
S  0.169  0.750  0.413
S  0.354  0.505  0.775
S  0.354  0.995  0.775
S  0.646  0.005  0.225
S  0.646  0.495  0.225
S  0.831  0.250  0.587
S  0.942  0.750  0.983